No. 1
Structure and theoretical powder diffraction line list of TbSi2Ni10 (a structure optimized by DFT (PBE); Cu Kα (λ = 1.5418 Å)).
Kinematic intensities with the Lorentz-polarization factor, no thermal factor.

Largest 10 diffraction maxima, in order of rising 2θ, 2θ from 10° to 80°:
2θ (°)  d (Å)  Rel. int.
31.07  2.879  20
34.71  2.584  10
38.25  2.353  33
38.54  2.336  15
44.40  2.040  100
44.69  2.028  34
49.95  1.826  11
50.22  1.817  15
64.54  1.444  6
73.83  1.284  11

Crystal structure
abc: 8.1721 8.1721 4.6719
angles: 90.00 90.00 90.00
Element x y z (fractional)
Tb 0.2500 0.2500 0.2207
Tb 0.7500 0.7500 0.7793
Si 0.0000 0.0000 0.5000
Si 0.0000 0.5000 0.5000
Si 0.5000 0.0000 0.5000
Si 0.5000 0.5000 0.5000
Ni 0.0000 0.0000 0.0000
Ni 0.0000 0.5000 0.0000
Ni 0.0258 0.2500 0.7286
Ni 0.1031 0.7500 0.7616
Ni 0.2500 0.0258 0.7286
Ni 0.2500 0.4742 0.7286
Ni 0.2500 0.6031 0.2384
Ni 0.2500 0.8969 0.2384
Ni 0.3969 0.7500 0.7616
Ni 0.4742 0.2500 0.7286
Ni 0.5000 0.0000 0.0000
Ni 0.5000 0.5000 0.0000
Ni 0.5258 0.7500 0.2714
Ni 0.6031 0.2500 0.2384
Ni 0.7500 0.1031 0.7616
Ni 0.7500 0.3969 0.7616
Ni 0.7500 0.5258 0.2714
Ni 0.7500 0.9742 0.2714
Ni 0.8969 0.2500 0.2384
Ni 0.9742 0.7500 0.2714


No. 2
Structure and theoretical powder diffraction line list of CsLiZnS2 (a structure optimized by DFT (PBE); Cu Kα (λ = 1.5418 Å)).
Kinematic intensities with the Lorentz-polarization factor, no thermal factor.

Largest 10 diffraction maxima, in order of rising 2θ, 2θ from 10° to 80°:
2θ (°)  d (Å)  Rel. int.
22.64  3.928  54
24.93  3.571  21
28.79  3.101  100
30.96  2.889  14
33.46  2.678  50
38.45  2.341  18
44.35  2.043  25
49.62  1.837  35
50.35  1.812  13
53.74  1.706  32

Crystal structure
abc: 4.0854 4.0854 14.2854
angles: 90.00 90.00 90.00
Element x y z (fractional)
Cs 0.0000 0.0000 0.0000
Cs 0.5000 0.5000 0.5000
Li 0.0000 0.5000 0.7500
Li 0.5000 0.0000 0.2500
Zn 0.0000 0.5000 0.2500
Zn 0.5000 0.0000 0.7500
S 0.0000 0.0000 0.3418
S 0.0000 0.0000 0.6582
S 0.5000 0.5000 0.1582
S 0.5000 0.5000 0.8418


No. 3
Structure and theoretical powder diffraction line list of Ti2CoTc (a structure optimized by DFT (PBE); Cu Kα (λ = 1.5418 Å)).
Kinematic intensities with the Lorentz-polarization factor, no thermal factor.

Largest 9 diffraction maxima, in order of rising 2θ, 2θ from 10° to 80°:
2θ (°)  d (Å)  Rel. int.
25.42  3.504  6
29.44  3.034  9
42.11  2.146  100
49.84  1.830  3
52.21  1.752  3
61.08  1.517  15
67.25  1.392  1
69.24  1.357  3
76.97  1.239  30

Crystal structure
abc: 6.0687 6.0687 6.0687
angles: 90.00 90.00 90.00
Element x y z (fractional)
Ti 0.2500 0.2500 0.2500
Ti 0.2500 0.2500 0.7500
Ti 0.2500 0.7500 0.2500
Ti 0.2500 0.7500 0.7500
Ti 0.7500 0.2500 0.2500
Ti 0.7500 0.2500 0.7500
Ti 0.7500 0.7500 0.2500
Ti 0.7500 0.7500 0.7500
Co 0.0000 0.0000 0.0000
Co 0.0000 0.5000 0.5000
Co 0.5000 0.0000 0.5000
Co 0.5000 0.5000 0.0000
Tc 0.0000 0.0000 0.5000
Tc 0.0000 0.5000 0.0000
Tc 0.5000 0.0000 0.0000
Tc 0.5000 0.5000 0.5000


No. 4
Structure and theoretical powder diffraction line list of Ba4WN4Cl2 (a structure optimized by DFT (PBE); Cu Kα (λ = 1.5418 Å)).
Kinematic intensities with the Lorentz-polarization factor, no thermal factor.

Largest 10 diffraction maxima, in order of rising 2θ, 2θ from 10° to 80°:
2θ (°)  d (Å)  Rel. int.
25.37  3.511  43
25.72  3.464  29
27.76  3.214  50
28.43  3.139  20
28.60  3.121  100
32.19  2.781  29
33.37  2.685  33
38.62  2.331  19
42.23  2.140  16
44.42  2.039  22

Crystal structure
abc: 8.5684 6.2401 10.9109
angles: 90.00 98.83 90.00
Element x y z (fractional)
Ba 0.0035 0.2500 0.3725
Ba 0.1857 0.7500 0.0908
Ba 0.2864 0.2500 0.7062
Ba 0.4448 0.2500 0.3776
Ba 0.5552 0.7500 0.6224
Ba 0.7136 0.7500 0.2938
Ba 0.8143 0.2500 0.9092
Ba 0.9965 0.7500 0.6275
W 0.2290 0.7500 0.3996
W 0.7710 0.2500 0.6004
N 0.0366 0.7500 0.2903
N 0.2455 0.5032 0.5019
N 0.2455 0.9968 0.5019
N 0.3897 0.7500 0.2990
N 0.6103 0.2500 0.7010
N 0.7545 0.0032 0.4981
N 0.7545 0.4968 0.4981
N 0.9634 0.2500 0.7097
Cl 0.1590 0.2500 0.0984
Cl 0.3264 0.7500 0.8347
Cl 0.6736 0.2500 0.1653
Cl 0.8410 0.7500 0.9016


No. 5
Structure and theoretical powder diffraction line list of CeThN2 (a structure optimized by DFT (PBE); Cu Kα (λ = 1.5418 Å)).
Kinematic intensities with the Lorentz-polarization factor, no thermal factor.

Largest 10 diffraction maxima, in order of rising 2θ, 2θ from 10° to 80°:
2θ (°)  d (Å)  Rel. int.
14.99  5.912  7
28.91  3.089  5
30.23  2.957  100
35.04  2.561  69
38.31  2.350  3
50.40  1.811  49
52.88  1.731  2
59.90  1.544  46
62.86  1.478  17
74.05  1.280  8

Crystal structure
abc: 3.6218 3.6218 17.7357
angles: 90.00 90.00 120.00
Element x y z (fractional)
Ce 0.0000 0.0000 0.0000
Ce 0.3333 0.6667 0.6667
Ce 0.6667 0.3333 0.3333
Th 0.0000 0.0000 0.5000
Th 0.3333 0.6667 0.1667
Th 0.6667 0.3333 0.8333
N 0.0000 0.0000 0.2506
N 0.0000 0.0000 0.7494
N 0.3333 0.6667 0.4160
N 0.3333 0.6667 0.9173
N 0.6667 0.3333 0.0827
N 0.6667 0.3333 0.5840


No. 6
Structure and theoretical powder diffraction line list of LuAlO3 (a structure optimized by DFT (PBE); Cu Kα (λ = 1.5418 Å)).
Kinematic intensities with the Lorentz-polarization factor, no thermal factor.

Largest 10 diffraction maxima, in order of rising 2θ, 2θ from 10° to 80°:
2θ (°)  d (Å)  Rel. int.
24.12  3.690  100
34.12  2.628  76
34.62  2.591  81
42.22  2.140  41
43.06  2.101  16
49.40  1.845  44
55.36  1.660  24
56.05  1.641  20
61.08  1.517  21
61.40  1.510  34

Crystal structure
abc: 5.1824 5.1824 5.1824
angles: 60.94 60.94 60.94
Element x y z (fractional)
Lu 0.2500 0.2500 0.2500
Lu 0.7500 0.7500 0.7500
Al 0.0000 0.0000 0.0000
Al 0.5000 0.5000 0.5000
O 0.1632 0.7500 0.3368
O 0.2500 0.6632 0.8368
O 0.3368 0.1632 0.7500
O 0.6632 0.8368 0.2500
O 0.7500 0.3368 0.1632
O 0.8368 0.2500 0.6632


No. 7
Structure and theoretical powder diffraction line list of Ca5Pt3 (a structure optimized by DFT (PBE); Cu Kα (λ = 1.5418 Å)).
Kinematic intensities with the Lorentz-polarization factor, no thermal factor.

Largest 10 diffraction maxima, in order of rising 2θ, 2θ from 10° to 80°:
2θ (°)  d (Å)  Rel. int.
22.85  3.893  100
24.53  3.629  68
31.89  2.806  41
33.84  2.649  54
34.97  2.566  47
35.58  2.523  61
43.75  2.069  39
45.20  2.006  76
65.44  1.426  24
66.58  1.404  25

Crystal structure
abc: 8.6469 8.6469 8.6469
angles: 96.85 96.85 139.59
Element x y z (fractional)
Ca 0.0821 0.7884 0.8705
Ca 0.2116 0.0821 0.2938
Ca 0.2500 0.7500 0.5000
Ca 0.2884 0.5821 0.8705
Ca 0.4179 0.2884 0.7062
Ca 0.5821 0.7116 0.2938
Ca 0.7116 0.4179 0.1295
Ca 0.7500 0.2500 0.5000
Ca 0.7884 0.9179 0.7062
Ca 0.9179 0.2116 0.1295
Pt 0.1559 0.3441 0.5000
Pt 0.2500 0.2500 0.0000
Pt 0.3441 0.8441 0.1882
Pt 0.6559 0.1559 0.8118
Pt 0.7500 0.7500 0.0000
Pt 0.8441 0.6559 0.5000


No. 8
Structure and theoretical powder diffraction line list of KNdZrTiO6 (a structure optimized by DFT (PBE); Cu Kα (λ = 1.5418 Å)).
Kinematic intensities with the Lorentz-polarization factor, no thermal factor.

Largest 10 diffraction maxima, in order of rising 2θ, 2θ from 10° to 80°:
2θ (°)  d (Å)  Rel. int.
19.00  4.671  32
31.27  2.860  100
36.85  2.439  20
38.55  2.335  9
44.81  2.022  37
49.09  1.856  9
55.66  1.651  38
59.36  1.557  7
65.24  1.430  21
74.13  1.279  16

Crystal structure
abc: 5.7204 5.7204 5.7204
angles: 60.00 60.00 60.00
Element x y z (fractional)
K 0.0000 0.0000 0.0000
Nd 0.5000 0.5000 0.5000
Zr 0.7500 0.7500 0.7500
Ti 0.2500 0.2500 0.2500
O 0.0080 0.0080 0.4920
O 0.0080 0.4920 0.0080
O 0.0080 0.4920 0.4920
O 0.4920 0.0080 0.0080
O 0.4920 0.0080 0.4920
O 0.4920 0.4920 0.0080


No. 9
Structure and theoretical powder diffraction line list of Mg6GaSn (a structure optimized by DFT (PBE); Cu Kα (λ = 1.5418 Å)).
Kinematic intensities with the Lorentz-polarization factor, no thermal factor.

Largest 10 diffraction maxima, in order of rising 2θ, 2θ from 10° to 80°:
2θ (°)  d (Å)  Rel. int.
16.45  5.389  61
23.45  3.793  53
33.25  2.694  53
33.68  2.661  43
37.22  2.416  48
37.41  2.404  100
37.69  2.386  20
59.14  1.562  17
62.70  1.482  22
69.82  1.347  23

Crystal structure
abc: 5.3220 6.2098 10.8451
angles: 90.00 90.00 90.00
Element x y z (fractional)
Mg 0.0000 0.0000 0.0000
Mg 0.0000 0.2470 0.2525
Mg 0.0000 0.2530 0.7525
Mg 0.0000 0.5000 0.5000
Mg 0.0000 0.7470 0.7525
Mg 0.0000 0.7530 0.2525
Mg 0.5000 0.0000 0.8343
Mg 0.5000 0.2495 0.0831
Mg 0.5000 0.2505 0.5831
Mg 0.5000 0.5000 0.3343
Mg 0.5000 0.7495 0.5831
Mg 0.5000 0.7505 0.0831
Ga 0.5000 0.0000 0.3302
Ga 0.5000 0.5000 0.8302
Sn 0.0000 0.0000 0.5005
Sn 0.0000 0.5000 0.0005